Computed powder XRD pattern of Co6OF11 for λ = 1.5418 Å (Cu Kα), from a structure optimized by DFT (PBE+U).

Crystal structure
```
18
Lattice="9.6837 0.0000 0.0000 0.0000 3.3809 3.2962 0.0000 -3.3809 3.2962" Properties=species:S:1:pos:R:3 pbc="T T T"
Co 0.0000 0.0000 0.0000
Co 1.5767 0.0000 3.0403
Co 3.2428 0.0000 6.3621
Co 4.8419 0.0000 3.0800
Co 6.4409 0.0000 6.3621
Co 8.1071 0.0000 3.0403
O 0.0000 0.0000 1.8072
F 0.0000 0.0000 4.5269
F 1.6583 -2.0369 3.0932
F 1.6583 2.0369 3.0932
F 3.2171 0.0000 4.3547
F 3.2333 0.0000 1.7864
F 4.8419 -2.0554 3.0692
F 4.8419 2.0554 3.0692
F 6.4505 0.0000 1.7864
F 6.4667 0.0000 4.3547
F 8.0254 -2.0369 3.0932
F 8.0254 2.0369 3.0932
```

Most intense lines, 2θ = 10–80°, in order of falling intensity:
d/Å  2θ (°)  intensity
2.664  33.64  100
3.381  26.36  86
3.296  27.05  80
1.779  51.35  59
1.754  52.14  51
1.414  66.06  38